The following is a theoretical PXRD pattern of K2MnCdO4. It was derived from a DFT-relaxed cell (GGA+U, Alexandria), using CuKα.
Kinematic intensities with the Lorentz-polarization factor, no thermal factor.

Cell and atoms:
Cell: 6.0054 6.0054 7.7584 Å, 90.00 90.00 90.00°
Space group I-4 (No. 82)
Symmetry-distinct sites (fractional):
1 K 0.0000 0.0000 0.0000 (multiplicity 2)
2 K 0.0000 0.5000 0.2500 (multiplicity 2)
3 Mn 0.0000 0.5000 0.7500 (multiplicity 2)
4 Cd 0.0000 0.0000 0.5000 (multiplicity 2)
5 O 0.1552 0.2788 0.6407 (multiplicity 8)

Largest 10 diffraction maxima, by intensity, 2θ = 10–90°:
- (1 1 2), 31.23 deg, I 1000
- (1 0 1), 18.69 deg, I 412
- (2 0 0), 29.75 deg, I 364
- (3 1 2), 53.74 deg, I 359
- (2 0 4), 56.49 deg, I 254
- (2 2 0), 42.58 deg, I 226
- (2 2 4), 65.15 deg, I 112
- (1 2 1), 35.37 deg, I 107
- (4 2 0), 70.06 deg, I 105
- (2 4 4), 88.58 deg, I 91